Starting from a crystal structure in the Materials Project, relaxed with PBE+U, the PXRD pattern of Li5VO3F2 was simulated for Cu Kα (weighted mean of Kα1 and Kα2).

Crystal structure
```
data_Li5VO3F2
_chemical_formula_sum 'Li5 V1 O3 F2'
_cell_length_a 4.014
_cell_length_b 5.234
_cell_length_c 5.972
_cell_angle_alpha 109.53
_cell_angle_beta 90.01
_cell_angle_gamma 112.54
_symmetry_space_group_name_H-M 'P 1'
_symmetry_Int_Tables_number 1
loop_
_symmetry_equiv_pos_as_xyz
'x,y,z'
loop_
_atom_site_label
_atom_site_fract_x
_atom_site_fract_y
_atom_site_fract_z
_atom_site_occupancy
Li1 0.000 0.000 0.000 1
Li2 0.032 0.064 0.427 1
Li3 0.328 0.653 0.621 1
Li4 0.624 0.248 0.811 1
Li5 0.656 0.312 0.239 1
V1 0.328 0.657 0.120 1
O1 0.188 0.375 0.299 1
O2 0.469 0.937 0.940 1
O3 0.828 0.656 0.120 1
F1 0.154 0.307 0.777 1
F2 0.504 0.008 0.461 1
```

Main lines, in order of falling intensity (2θ from 5° to 70°):
- (0 0 1), 15.92 deg, rel. 100
- (1 0 0), 24.28 deg, rel. 99
- (0 1 -1), 20.38 deg, rel. 70
- (2 -1 0), 45.18 deg, rel. 54
- (0 2 -2), 41.44 deg, rel. 50
- (0 1 2), 43.99 deg, rel. 44
- (0 1 1), 29.68 deg, rel. 33
- (2 1 -2), 62.96 deg, rel. 23

Starting from a crystal structure in the Materials Project, relaxed with PBE+U, the PXRD pattern of Li2VO2F was simulated for Cu Kα (weighted mean of Kα1 and Kα2).

Crystal structure
```
data_Li2VO2F
_chemical_formula_sum 'Li8 V4 O8 F4'
_cell_length_a 8.949
_cell_length_b 3.024
_cell_length_c 9.100
_cell_angle_alpha 90.00
_cell_angle_beta 109.65
_cell_angle_gamma 90.00
_symmetry_space_group_name_H-M 'P 1 m 1'
_symmetry_Int_Tables_number 6
loop_
_symmetry_equiv_pos_as_xyz
'x,y,z'
'x,-y,z'
loop_
_atom_site_label
_atom_site_fract_x
_atom_site_fract_y
_atom_site_fract_z
_atom_site_occupancy
Li1 0.000 0.000 0.000 1
Li2 0.000 0.000 0.259 1
Li3 0.218 0.500 0.208 1
Li4 0.250 0.500 0.540 1
Li5 0.480 0.000 0.463 1
Li6 0.495 0.000 0.796 1
Li7 0.747 0.500 0.744 1
Li8 0.771 0.500 0.044 1
V1 0.001 0.000 0.635 1
V2 0.243 0.500 0.883 1
V3 0.491 0.000 0.128 1
V4 0.747 0.500 0.360 1
O1 0.241 0.000 0.723 1
O2 0.254 0.000 0.039 1
O3 0.485 0.500 0.972 1
O4 0.509 0.500 0.293 1
O5 0.735 0.000 0.218 1
O6 0.977 0.500 0.482 1
O7 0.994 0.500 0.130 1
O8 0.999 0.500 0.785 1
F1 0.252 0.000 0.392 1
F2 0.500 0.500 0.628 1
F3 0.732 0.000 0.869 1
F4 0.742 0.000 0.537 1
```

Main lines, in order of falling intensity (2θ from 5° to 70°):
- (1 0 -1), 12.00 deg, rel. 100
- (1 1 -3), 42.19 deg, rel. 49
- (2 0 -2), 24.13 deg, rel. 30
- (4 0 0), 42.92 deg, rel. 22
- (1 1 1), 34.30 deg, rel. 16
- (3 1 3), 61.69 deg, rel. 12
- (5 1 -3), 61.83 deg, rel. 11
- (0 2 0), 61.28 deg, rel. 11